Record 1
Diffraction record for MgZr8. The powder diffractogram is computed, not measured: it uses DFT lattice parameters and positions (PBE) and copper Kα.

Peak list (6 most intense, 15° ≤ 2θ ≤ 90°, sorted by position)
- 34.4 deg, intensity 1000
- 39.1 deg, intensity 349
- 41.7 deg, intensity 145
- 56.4 deg, intensity 116
- 58.4 deg, intensity 208
- 67.8 deg, intensity 262

```
data_MgZr8
_chemical_formula_sum 'Mg1 Zr8'
_cell_length_a 7.251
_cell_length_b 7.251
_cell_length_c 7.251
_cell_angle_alpha 95.13
_cell_angle_beta 95.13
_cell_angle_gamma 145.22
_symmetry_space_group_name_H-M 'P 1'
_symmetry_Int_Tables_number 1
loop_
_symmetry_equiv_pos_as_xyz
'x,y,z'
loop_
_atom_site_label
_atom_site_fract_x
_atom_site_fract_y
_atom_site_fract_z
_atom_site_occupancy
Mg1 0.000 0.000 0.000 1
Zr1 0.000 0.334 0.334 1
Zr2 0.000 0.666 0.666 1
Zr3 0.331 0.331 0.662 1
Zr4 0.331 0.669 0.000 1
Zr5 0.334 0.000 0.334 1
Zr6 0.666 0.000 0.666 1
Zr7 0.669 0.331 0.000 1
Zr8 0.669 0.669 0.338 1
```

Record 2
Diffraction record for Y7Tm5. The powder diffractogram is computed, not measured: it uses DFT lattice parameters and positions (PBE) and copper Kα.

Peak list (6 most intense, 15° ≤ 2θ ≤ 90°, sorted by position)
- 30.1 deg, intensity 375
- 31.2 deg, intensity 330
- 33.0 deg, intensity 1000
- 51.4 deg, intensity 244
- 56.7 deg, intensity 210
- 61.4 deg, intensity 283

```
data_Y7Tm5
_chemical_formula_sum 'Y7 Tm5'
_cell_length_a 9.401
_cell_length_b 9.401
_cell_length_c 13.005
_cell_angle_alpha 117.69
_cell_angle_beta 117.69
_cell_angle_gamma 21.78
_symmetry_space_group_name_H-M 'P 1'
_symmetry_Int_Tables_number 1
loop_
_symmetry_equiv_pos_as_xyz
'x,y,z'
loop_
_atom_site_label
_atom_site_fract_x
_atom_site_fract_y
_atom_site_fract_z
_atom_site_occupancy
Y1 0.000 0.000 0.000 1
Y2 0.139 0.139 0.751 1
Y3 0.167 0.167 0.502 1
Y4 0.472 0.472 0.750 1
Y5 0.528 0.528 0.250 1
Y6 0.833 0.833 0.498 1
Y7 0.861 0.861 0.249 1
Tm1 0.194 0.194 0.248 1
Tm2 0.333 0.333 0.999 1
Tm3 0.500 0.500 0.500 1
Tm4 0.667 0.667 0.001 1
Tm5 0.806 0.806 0.752 1
```

Record 3
Diffraction record for Sm8Hg3Te4. The powder diffractogram is computed, not measured: it uses DFT lattice parameters and positions (PBE) and copper Kα.

Peak list (6 most intense, 15° ≤ 2θ ≤ 90°, sorted by position)
- 28.7 deg, intensity 1000
- 28.8 deg, intensity 495
- 40.8 deg, intensity 195
- 41.2 deg, intensity 760
- 50.7 deg, intensity 207
- 51.2 deg, intensity 201

```
data_Sm8Hg3Te4
_chemical_formula_sum 'Sm8 Hg3 Te4'
_cell_length_a 8.772
_cell_length_b 8.772
_cell_length_c 8.724
_cell_angle_alpha 119.79
_cell_angle_beta 119.79
_cell_angle_gamma 89.80
_symmetry_space_group_name_H-M 'P 1'
_symmetry_Int_Tables_number 1
loop_
_symmetry_equiv_pos_as_xyz
'x,y,z'
loop_
_atom_site_label
_atom_site_fract_x
_atom_site_fract_y
_atom_site_fract_z
_atom_site_occupancy
Sm1 0.242 0.242 0.999 1
Sm2 0.243 0.757 0.000 1
Sm3 0.246 0.246 0.493 1
Sm4 0.250 0.750 0.500 1
Sm5 0.750 0.250 0.500 1
Sm6 0.754 0.754 0.507 1
Sm7 0.757 0.243 0.000 1
Sm8 0.758 0.758 0.001 1
Hg1 0.000 0.000 0.500 1
Hg2 0.000 0.500 0.000 1
Hg3 0.500 0.000 0.000 1
Te1 0.000 0.500 0.500 1
Te2 0.500 0.000 0.500 1
Te3 0.500 0.500 0.000 1
Te4 0.500 0.500 0.500 1
```

Record 4
Diffraction record for CoP2Os. The powder diffractogram is computed, not measured: it uses DFT lattice parameters and positions (PBE) and copper Kα.

Peak list (6 most intense, 15° ≤ 2θ ≤ 90°, sorted by position)
- 20.8 deg, intensity 309
- 23.1 deg, intensity 725
- 28.0 deg, intensity 480
- 35.1 deg, intensity 1000
- 42.3 deg, intensity 316
- 49.0 deg, intensity 679

```
data_CoP2Os
_chemical_formula_sum 'Co1 P2 Os1'
_cell_length_a 4.277
_cell_length_b 4.222
_cell_length_c 4.222
_cell_angle_alpha 48.92
_cell_angle_beta 90.00
_cell_angle_gamma 90.00
_symmetry_space_group_name_H-M 'P 1'
_symmetry_Int_Tables_number 1
loop_
_symmetry_equiv_pos_as_xyz
'x,y,z'
loop_
_atom_site_label
_atom_site_fract_x
_atom_site_fract_y
_atom_site_fract_z
_atom_site_occupancy
Co1 0.000 0.000 0.000 1
P1 0.000 0.314 0.314 1
P2 0.500 0.128 0.128 1
Os1 0.500 0.443 0.443 1
```

Record 5
Diffraction record for SmHo14Pu. The powder diffractogram is computed, not measured: it uses DFT lattice parameters and positions (PBE) and copper Kα.

Peak list (6 most intense, 15° ≤ 2θ ≤ 90°, sorted by position)
- 28.7 deg, intensity 239
- 32.0 deg, intensity 240
- 32.9 deg, intensity 1000
- 50.8 deg, intensity 198
- 57.6 deg, intensity 205
- 61.3 deg, intensity 226

```
data_SmHo14Pu
_chemical_formula_sum 'Sm1 Ho14 Pu1'
_cell_length_a 11.199
_cell_length_b 7.182
_cell_length_c 7.182
_cell_angle_alpha 60.04
_cell_angle_beta 90.00
_cell_angle_gamma 90.00
_symmetry_space_group_name_H-M 'P 1'
_symmetry_Int_Tables_number 1
loop_
_symmetry_equiv_pos_as_xyz
'x,y,z'
loop_
_atom_site_label
_atom_site_fract_x
_atom_site_fract_y
_atom_site_fract_z
_atom_site_occupancy
Sm1 0.000 0.000 0.000 1
Ho1 0.000 0.500 0.999 1
Ho2 0.000 0.999 0.500 1
Ho3 0.248 0.335 0.335 1
Ho4 0.249 0.335 0.829 1
Ho5 0.249 0.829 0.335 1
Ho6 0.253 0.833 0.833 1
Ho7 0.500 0.000 0.000 1
Ho8 0.500 0.000 0.499 1
Ho9 0.500 0.499 0.000 1
Ho10 0.500 0.500 0.500 1
Ho11 0.747 0.833 0.833 1
Ho12 0.751 0.335 0.829 1
Ho13 0.751 0.829 0.335 1
Ho14 0.752 0.335 0.335 1
Pu1 0.000 0.500 0.500 1
```

Record 6
Diffraction record for La8Pm2Tm. The powder diffractogram is computed, not measured: it uses DFT lattice parameters and positions (PBE) and copper Kα.

Peak list (6 most intense, 15° ≤ 2θ ≤ 90°, sorted by position)
- 28.6 deg, intensity 302
- 30.8 deg, intensity 325
- 31.1 deg, intensity 1000
- 32.8 deg, intensity 114
- 55.0 deg, intensity 199
- 60.6 deg, intensity 124

```
data_La8Pm2Tm
_chemical_formula_sum 'La8 Pm2 Tm1'
_cell_length_a 9.710
_cell_length_b 9.710
_cell_length_c 9.710
_cell_angle_alpha 145.27
_cell_angle_beta 129.40
_cell_angle_gamma 62.83
_symmetry_space_group_name_H-M 'P 1'
_symmetry_Int_Tables_number 1
loop_
_symmetry_equiv_pos_as_xyz
'x,y,z'
loop_
_atom_site_label
_atom_site_fract_x
_atom_site_fract_y
_atom_site_fract_z
_atom_site_occupancy
La1 0.160 0.160 0.000 1
La2 0.165 0.366 0.799 1
La3 0.291 0.000 0.291 1
La4 0.433 0.634 0.799 1
La5 0.567 0.366 0.201 1
La6 0.709 0.000 0.709 1
La7 0.835 0.634 0.201 1
La8 0.840 0.840 0.000 1
Pm1 0.298 0.798 0.500 1
Pm2 0.702 0.202 0.500 1
Tm1 0.000 0.500 0.500 1
```